(1)
This entry pairs a crystal structure of CaSb2O5 with its computed powder diffraction line list. Radiation: λ = 1.5418 Å (Cu Kα). Structure: DFT lattice parameters and positions (PBE).
Peak positions follow from Bragg's law for the DFT cell and can differ from measured ones.

Cell lengths 3.8783, 13.4535, 5.1618 Å; angles 90.00, 90.00, 90.00 degrees
Fractional coordinates of all 16 atoms:
Ca (0.2500, 0.2500, 0.1053)
Ca (0.7500, 0.7500, 0.8947)
Sb (0.2500, 0.6102, 0.4231)
Sb (0.2500, 0.8898, 0.4231)
Sb (0.7500, 0.1102, 0.5769)
Sb (0.7500, 0.3898, 0.5769)
O (0.2500, 0.0894, 0.4507)
O (0.2500, 0.4106, 0.4507)
O (0.2500, 0.6445, 0.0633)
O (0.2500, 0.7500, 0.5781)
O (0.2500, 0.8555, 0.0633)
O (0.7500, 0.1445, 0.9367)
O (0.7500, 0.2500, 0.4219)
O (0.7500, 0.3555, 0.9367)
O (0.7500, 0.5894, 0.5493)
O (0.7500, 0.9106, 0.5493)

The 12 most intense peaks (5° ≤ 2θ ≤ 70°), low angle first:
| 2θ/deg | d [Å] | I/Imax |
| --- | --- | --- |
| 17.2 | 5.162 | 100.0 |
| 23.9 | 3.727 | 45.1 |
| 26.3 | 3.385 | 30.3 |
| 26.5 | 3.363 | 43.2 |
| 28.8 | 3.101 | 35.2 |
| 29.6 | 3.021 | 56.1 |
| 30.5 | 2.933 | 59.5 |
| 31.8 | 2.818 | 50.5 |
| 46.9 | 1.939 | 32.9 |
| 50.4 | 1.811 | 32.0 |
| 54.6 | 1.681 | 25.4 |
| 56.3 | 1.634 | 24.9 |

---

(2)
This entry pairs a crystal structure of CaSb2O4 with its computed powder diffraction line list. Radiation: λ = 1.5418 Å (Cu Kα). Structure: DFT lattice parameters and positions (PBE).
Peak positions follow from Bragg's law for the DFT cell and can differ from measured ones.

Cell lengths 6.8639, 6.8639, 17.3610 Å; angles 90.00, 90.00, 120.00 degrees
Fractional coordinates of all 42 atoms:
Ca (0.0000, 0.0000, 0.0000)
Ca (0.0000, 0.0000, 0.2558)
Ca (0.0000, 0.0000, 0.6305)
Ca (0.3333, 0.6667, 0.5866)
Ca (0.6667, 0.3333, 0.2983)
Ca (0.6667, 0.3333, 0.9140)
Sb (0.1682, 0.3364, 0.7958)
Sb (0.1682, 0.8318, 0.7958)
Sb (0.3274, 0.1637, 0.4648)
Sb (0.3333, 0.6667, 0.3364)
Sb (0.3333, 0.6667, 0.9711)
Sb (0.5043, 0.0085, 0.1324)
Sb (0.5043, 0.4957, 0.1324)
Sb (0.6636, 0.8318, 0.7958)
Sb (0.6667, 0.3333, 0.6735)
Sb (0.8363, 0.1637, 0.4648)
Sb (0.8363, 0.6726, 0.4648)
Sb (0.9915, 0.4957, 0.1324)
O (0.0000, 0.0000, 0.3952)
O (0.0000, 0.0000, 0.8733)
O (0.0166, 0.5083, 0.8615)
O (0.1481, 0.2963, 0.5317)
O (0.1481, 0.8519, 0.5317)
O (0.1833, 0.3667, 0.0386)
O (0.1833, 0.8167, 0.0386)
O (0.3210, 0.1605, 0.7080)
O (0.3333, 0.6667, 0.2116)
O (0.3333, 0.6667, 0.7224)
O (0.3617, 0.1808, 0.2004)
O (0.4917, 0.5083, 0.8615)
O (0.4917, 0.9834, 0.8615)
O (0.5030, 0.0060, 0.3746)
O (0.5030, 0.4970, 0.3746)
O (0.6333, 0.8167, 0.0386)
O (0.6667, 0.3333, 0.0612)
O (0.6667, 0.3333, 0.5500)
O (0.7037, 0.8519, 0.5317)
O (0.8192, 0.1808, 0.2004)
O (0.8192, 0.6383, 0.2004)
O (0.8395, 0.1605, 0.7080)
O (0.8395, 0.6790, 0.7080)
O (0.9940, 0.4970, 0.3746)

The 12 most intense peaks (5° ≤ 2θ ≤ 70°), low angle first:
| 2θ/deg | d [Å] | I/Imax |
| --- | --- | --- |
| 15.3 | 5.787 | 47.5 |
| 15.8 | 5.624 | 39.7 |
| 25.4 | 3.505 | 37.4 |
| 29.8 | 2.998 | 51.8 |
| 30.3 | 2.952 | 100.0 |
| 30.5 | 2.930 | 91.2 |
| 31.8 | 2.812 | 49.5 |
| 36.6 | 2.452 | 64.0 |
| 47.8 | 1.904 | 29.2 |
| 48.2 | 1.886 | 31.7 |
| 52.2 | 1.753 | 55.9 |
| 53.4 | 1.716 | 54.3 |

---

(3)
This entry pairs a crystal structure of CaSb2O4 with its computed powder diffraction line list. Radiation: λ = 1.5418 Å (Cu Kα). Structure: DFT lattice parameters and positions (PBE).
Peak positions follow from Bragg's law for the DFT cell and can differ from measured ones.

Cell lengths 7.0923, 7.0923, 11.3503 Å; angles 115.49, 115.49, 28.30 degrees
Fractional coordinates of all 14 atoms:
Ca (0.2344, 0.2344, 0.2422)
Ca (0.7656, 0.7656, 0.7578)
Sb (0.1170, 0.1170, 0.8821)
Sb (0.3862, 0.3862, 0.5875)
Sb (0.6138, 0.6138, 0.4125)
Sb (0.8830, 0.8830, 0.1179)
O (0.0801, 0.0801, 0.2908)
O (0.2439, 0.2439, 0.6037)
O (0.2710, 0.2710, 0.8977)
O (0.4027, 0.4027, 0.2350)
O (0.5973, 0.5973, 0.7650)
O (0.7290, 0.7290, 0.1023)
O (0.7561, 0.7561, 0.3963)
O (0.9199, 0.9199, 0.7092)

The 12 most intense peaks (5° ≤ 2θ ≤ 70°), low angle first:
| 2θ/deg | d [Å] | I/Imax |
| --- | --- | --- |
| 17.0 | 5.222 | 100.0 |
| 26.3 | 3.384 | 19.2 |
| 27.2 | 3.273 | 51.3 |
| 29.0 | 3.081 | 22.2 |
| 29.1 | 3.065 | 48.4 |
| 32.4 | 2.765 | 43.1 |
| 35.4 | 2.537 | 69.0 |
| 39.3 | 2.290 | 19.4 |
| 40.1 | 2.248 | 17.8 |
| 49.3 | 1.848 | 32.2 |
| 51.0 | 1.789 | 16.8 |
| 55.6 | 1.652 | 18.3 |

---

(4)
This entry pairs a crystal structure of CaSb2O4 with its computed powder diffraction line list. Radiation: λ = 1.5418 Å (Cu Kα). Structure: DFT lattice parameters and positions (PBE).
Peak positions follow from Bragg's law for the DFT cell and can differ from measured ones.

Cell lengths 10.0161, 3.2330, 13.5355 Å; angles 90.00, 90.00, 90.00 degrees
Fractional coordinates of all 28 atoms:
Ca (0.2374, 0.2500, 0.1457)
Ca (0.2626, 0.7500, 0.6457)
Ca (0.7374, 0.2500, 0.3543)
Ca (0.7626, 0.7500, 0.8543)
Sb (0.0668, 0.2500, 0.3516)
Sb (0.0820, 0.2500, 0.8932)
Sb (0.4180, 0.7500, 0.3932)
Sb (0.4332, 0.7500, 0.8516)
Sb (0.5668, 0.2500, 0.1484)
Sb (0.5820, 0.2500, 0.6068)
Sb (0.9180, 0.7500, 0.1068)
Sb (0.9332, 0.7500, 0.6484)
O (0.0336, 0.7500, 0.7978)
O (0.0812, 0.2500, 0.6299)
O (0.1044, 0.7500, 0.0545)
O (0.1717, 0.7500, 0.2695)
O (0.3283, 0.2500, 0.7695)
O (0.3956, 0.2500, 0.5545)
O (0.4188, 0.7500, 0.1299)
O (0.4664, 0.2500, 0.2978)
O (0.5336, 0.7500, 0.7022)
O (0.5812, 0.2500, 0.8701)
O (0.6044, 0.7500, 0.4455)
O (0.6717, 0.7500, 0.2305)
O (0.8283, 0.2500, 0.7305)
O (0.8956, 0.2500, 0.9455)
O (0.9188, 0.7500, 0.3701)
O (0.9664, 0.2500, 0.2022)

The 12 most intense peaks (5° ≤ 2θ ≤ 70°), low angle first:
| 2θ/deg | d [Å] | I/Imax |
| --- | --- | --- |
| 15.8 | 5.608 | 19.0 |
| 17.7 | 5.008 | 39.2 |
| 26.3 | 3.384 | 59.1 |
| 29.8 | 2.994 | 93.6 |
| 31.9 | 2.801 | 100.0 |
| 33.0 | 2.716 | 36.3 |
| 42.7 | 2.118 | 46.6 |
| 45.8 | 1.980 | 23.3 |
| 50.1 | 1.819 | 14.7 |
| 53.6 | 1.709 | 20.7 |
| 55.7 | 1.651 | 15.6 |
| 65.6 | 1.422 | 18.9 |

---

(5)
This entry pairs a crystal structure of Ca2Sb3O8 with its computed powder diffraction line list. Radiation: λ = 1.5418 Å (Cu Kα). Structure: DFT lattice parameters and positions (PBE).
Peak positions follow from Bragg's law for the DFT cell and can differ from measured ones.

Cell lengths 6.7330, 6.7330, 10.3441 Å; angles 90.00, 90.00, 120.00 degrees
Fractional coordinates of all 26 atoms:
Ca (0.3333, 0.6667, 0.0000)
Ca (0.3333, 0.6667, 0.3723)
Ca (0.6667, 0.3333, 0.5000)
Ca (0.6667, 0.3333, 0.8723)
Sb (0.1647, 0.3294, 0.7143)
Sb (0.1647, 0.8353, 0.7143)
Sb (0.3294, 0.1647, 0.2143)
Sb (0.6706, 0.8353, 0.7143)
Sb (0.8353, 0.1647, 0.2143)
Sb (0.8353, 0.6706, 0.2143)
O (0.0000, 0.0000, 0.3138)
O (0.0000, 0.0000, 0.8138)
O (0.0490, 0.5245, 0.8307)
O (0.1624, 0.3248, 0.1265)
O (0.1624, 0.8376, 0.1265)
O (0.3248, 0.1624, 0.6265)
O (0.3333, 0.6667, 0.6018)
O (0.4755, 0.5245, 0.8307)
O (0.4755, 0.9510, 0.8307)
O (0.5245, 0.0490, 0.3307)
O (0.5245, 0.4755, 0.3307)
O (0.6667, 0.3333, 0.1018)
O (0.6752, 0.8376, 0.1265)
O (0.8376, 0.1624, 0.6265)
O (0.8376, 0.6752, 0.6265)
O (0.9510, 0.4755, 0.3307)

The 12 most intense peaks (5° ≤ 2θ ≤ 70°), low angle first:
| 2θ/deg | d [Å] | I/Imax |
| --- | --- | --- |
| 17.1 | 5.172 | 100.0 |
| 17.5 | 5.080 | 31.3 |
| 23.0 | 3.869 | 26.1 |
| 30.1 | 2.968 | 28.7 |
| 30.7 | 2.915 | 22.7 |
| 31.7 | 2.821 | 35.2 |
| 31.9 | 2.806 | 94.1 |
| 35.3 | 2.540 | 25.5 |
| 40.5 | 2.226 | 44.2 |
| 54.4 | 1.687 | 37.7 |
| 54.5 | 1.683 | 34.3 |
| 57.6 | 1.601 | 22.5 |

---

(6)
This entry pairs a crystal structure of CaSb2O4 with its computed powder diffraction line list. Radiation: λ = 1.5418 Å (Cu Kα). Structure: DFT lattice parameters and positions (PBE).
Peak positions follow from Bragg's law for the DFT cell and can differ from measured ones.

Cell lengths 7.0102, 7.0102, 23.7666 Å; angles 101.46, 101.46, 55.18 degrees
Fractional coordinates of all 56 atoms:
Ca (0.0000, 0.0000, 0.0000)
Ca (0.0266, 0.0266, 0.5975)
Ca (0.1490, 0.1490, 0.8884)
Ca (0.2730, 0.2730, 0.3616)
Ca (0.2946, 0.2946, 0.7708)
Ca (0.5104, 0.5104, 0.5149)
Ca (0.7285, 0.7285, 0.2467)
Ca (0.8812, 0.8812, 0.1370)
Sb (0.0054, 0.5182, 0.0157)
Sb (0.0142, 0.5159, 0.5158)
Sb (0.2127, 0.2127, 0.1604)
Sb (0.2419, 0.7422, 0.2627)
Sb (0.2935, 0.7952, 0.7573)
Sb (0.3842, 0.3842, 0.6369)
Sb (0.4769, 0.4769, 0.9111)
Sb (0.5159, 0.0142, 0.5158)
Sb (0.5182, 0.0054, 0.0157)
Sb (0.5429, 0.5429, 0.0949)
Sb (0.6099, 0.6099, 0.3859)
Sb (0.7422, 0.2419, 0.2627)
Sb (0.7520, 0.7520, 0.6831)
Sb (0.7952, 0.2935, 0.7573)
Sb (0.8146, 0.8146, 0.8558)
Sb (0.9546, 0.9546, 0.4244)
O (0.0168, 0.0168, 0.8045)
O (0.0386, 0.0386, 0.2180)
O (0.0706, 0.5425, 0.1980)
O (0.0986, 0.0986, 0.7082)
O (0.1006, 0.6348, 0.7115)
O (0.1377, 0.7019, 0.0647)
O (0.1968, 0.1968, 0.5526)
O (0.2020, 0.6247, 0.5738)
O (0.2146, 0.2146, 0.0680)
O (0.2916, 0.2916, 0.9704)
O (0.3026, 0.8040, 0.4466)
O (0.3174, 0.3174, 0.4675)
O (0.3171, 0.8196, 0.9409)
O (0.4174, 0.8847, 0.3228)
O (0.4505, 0.4505, 0.3446)
O (0.4657, 0.9685, 0.8271)
O (0.4754, 0.4754, 0.8247)
O (0.5425, 0.0706, 0.1980)
O (0.5449, 0.5449, 0.6626)
O (0.5647, 0.5647, 0.1802)
O (0.6247, 0.2020, 0.5738)
O (0.6348, 0.1006, 0.7115)
O (0.7019, 0.1377, 0.0647)
O (0.7045, 0.7045, 0.0925)
O (0.7284, 0.7284, 0.5957)
O (0.8040, 0.3026, 0.4466)
O (0.8196, 0.3171, 0.9409)
O (0.8238, 0.8238, 0.9415)
O (0.8847, 0.4174, 0.3228)
O (0.9089, 0.9089, 0.4990)
O (0.9237, 0.9237, 0.2980)
O (0.9685, 0.4657, 0.8271)

The 12 most intense peaks (5° ≤ 2θ ≤ 70°), low angle first:
| 2θ/deg | d [Å] | I/Imax |
| --- | --- | --- |
| 24.4 | 3.647 | 57.9 |
| 25.5 | 3.489 | 60.6 |
| 29.3 | 3.047 | 40.0 |
| 29.7 | 3.006 | 50.7 |
| 30.1 | 2.968 | 77.4 |
| 30.5 | 2.933 | 39.6 |
| 31.4 | 2.849 | 81.3 |
| 31.6 | 2.832 | 100.0 |
| 47.4 | 1.917 | 58.7 |
| 50.0 | 1.824 | 37.1 |
| 52.5 | 1.745 | 40.6 |
| 53.5 | 1.714 | 43.6 |

---

(7)
This entry pairs a crystal structure of Ca2Sb2O5 with its computed powder diffraction line list. Radiation: λ = 1.5418 Å (Cu Kα). Structure: DFT lattice parameters and positions (PBE).
Peak positions follow from Bragg's law for the DFT cell and can differ from measured ones.

Cell lengths 6.4023, 10.3006, 4.2719 Å; angles 90.00, 90.00, 90.00 degrees
Fractional coordinates of all 18 atoms:
Ca (0.1604, 0.1393, 0.0000)
Ca (0.3396, 0.6393, 0.0000)
Ca (0.6604, 0.3607, 0.0000)
Ca (0.8396, 0.8607, 0.0000)
Sb (0.2189, 0.3923, 0.5000)
Sb (0.2811, 0.8923, 0.5000)
Sb (0.7189, 0.1077, 0.5000)
Sb (0.7811, 0.6077, 0.5000)
O (0.0000, 0.0000, 0.5000)
O (0.1817, 0.7091, 0.5000)
O (0.2135, 0.8783, 0.0000)
O (0.2865, 0.3783, 0.0000)
O (0.3183, 0.2091, 0.5000)
O (0.5000, 0.5000, 0.5000)
O (0.6817, 0.7909, 0.5000)
O (0.7135, 0.6217, 0.0000)
O (0.7865, 0.1217, 0.0000)
O (0.8183, 0.2909, 0.5000)

The 12 most intense peaks (5° ≤ 2θ ≤ 70°), low angle first:
| 2θ/deg | d [Å] | I/Imax |
| --- | --- | --- |
| 20.8 | 4.272 | 30.3 |
| 22.2 | 4.013 | 55.6 |
| 27.9 | 3.201 | 43.8 |
| 30.6 | 2.925 | 100.0 |
| 34.8 | 2.575 | 24.3 |
| 35.0 | 2.562 | 14.2 |
| 42.3 | 2.136 | 25.7 |
| 45.2 | 2.006 | 18.8 |
| 48.3 | 1.885 | 13.9 |
| 48.5 | 1.877 | 15.6 |
| 51.4 | 1.777 | 14.8 |
| 59.8 | 1.546 | 13.3 |

---

(8)
This entry pairs a crystal structure of Ca4Sb2O with its computed powder diffraction line list. Radiation: λ = 1.5418 Å (Cu Kα). Structure: DFT lattice parameters and positions (PBE).
Peak positions follow from Bragg's law for the DFT cell and can differ from measured ones.

Cell lengths 4.7107, 4.7107, 16.3871 Å; angles 90.00, 90.00, 90.00 degrees
Fractional coordinates of all 14 atoms:
Ca (0.0000, 0.0000, 0.1653)
Ca (0.0000, 0.0000, 0.8347)
Ca (0.0000, 0.5000, 0.0000)
Ca (0.0000, 0.5000, 0.5000)
Ca (0.5000, 0.0000, 0.0000)
Ca (0.5000, 0.0000, 0.5000)
Ca (0.5000, 0.5000, 0.3347)
Ca (0.5000, 0.5000, 0.6653)
Sb (0.0000, 0.0000, 0.3605)
Sb (0.0000, 0.0000, 0.6395)
Sb (0.5000, 0.5000, 0.1395)
Sb (0.5000, 0.5000, 0.8605)
O (0.0000, 0.0000, 0.0000)
O (0.5000, 0.5000, 0.5000)

The 12 most intense peaks (5° ≤ 2θ ≤ 70°), low angle first:
| 2θ/deg | d [Å] | I/Imax |
| --- | --- | --- |
| 19.6 | 4.527 | 31.1 |
| 21.7 | 4.097 | 20.2 |
| 25.0 | 3.567 | 41.6 |
| 26.8 | 3.331 | 58.3 |
| 28.9 | 3.086 | 33.6 |
| 32.8 | 2.731 | 24.9 |
| 34.7 | 2.584 | 100.0 |
| 38.2 | 2.355 | 60.6 |
| 51.2 | 1.784 | 25.9 |
| 55.1 | 1.665 | 19.6 |
| 65.7 | 1.421 | 22.0 |
| 66.8 | 1.400 | 27.8 |

---

(9)
This entry pairs a crystal structure of CaSb2O6 with its computed powder diffraction line list. Radiation: λ = 1.5418 Å (Cu Kα). Structure: DFT lattice parameters and positions (PBE).
Peak positions follow from Bragg's law for the DFT cell and can differ from measured ones.

Cell lengths 5.3164, 5.3164, 5.1129 Å; angles 90.00, 90.00, 120.00 degrees
Fractional coordinates of all 9 atoms:
Ca (0.0000, 0.0000, 0.0000)
Sb (0.3333, 0.6667, 0.5000)
Sb (0.6667, 0.3333, 0.5000)
O (0.0000, 0.3682, 0.2828)
O (0.0000, 0.6318, 0.7172)
O (0.3682, 0.0000, 0.2828)
O (0.3682, 0.3682, 0.7172)
O (0.6318, 0.0000, 0.7172)
O (0.6318, 0.6318, 0.2828)

The 12 most intense peaks (5° ≤ 2θ ≤ 70°), low angle first:
| 2θ/deg | d [Å] | I/Imax |
| --- | --- | --- |
| 17.3 | 5.113 | 77.3 |
| 19.3 | 4.604 | 30.2 |
| 26.0 | 3.421 | 100.0 |
| 33.7 | 2.658 | 50.9 |
| 35.1 | 2.556 | 10.1 |
| 38.2 | 2.358 | 55.3 |
| 43.1 | 2.099 | 22.6 |
| 49.5 | 1.843 | 63.6 |
| 55.8 | 1.647 | 22.3 |
| 60.3 | 1.535 | 20.4 |
| 63.3 | 1.470 | 13.4 |
| 65.0 | 1.435 | 14.0 |

---

(10)
This entry pairs a crystal structure of CaSb2O4 with its computed powder diffraction line list. Radiation: λ = 1.5418 Å (Cu Kα). Structure: DFT lattice parameters and positions (PBE).
Peak positions follow from Bragg's law for the DFT cell and can differ from measured ones.

Cell lengths 6.9441, 6.9441, 6.9441 Å; angles 60.00, 60.00, 60.00 degrees
Fractional coordinates of all 14 atoms:
Ca (0.1250, 0.1250, 0.1250)
Ca (0.8750, 0.8750, 0.8750)
Sb (0.0000, 0.5000, 0.5000)
Sb (0.5000, 0.0000, 0.5000)
Sb (0.5000, 0.5000, 0.0000)
Sb (0.5000, 0.5000, 0.5000)
O (0.2594, 0.2594, 0.2594)
O (0.2594, 0.2594, 0.7218)
O (0.2594, 0.7218, 0.2594)
O (0.2782, 0.7406, 0.7406)
O (0.7218, 0.2594, 0.2594)
O (0.7406, 0.2782, 0.7406)
O (0.7406, 0.7406, 0.2782)
O (0.7406, 0.7406, 0.7406)

The 12 most intense peaks (5° ≤ 2θ ≤ 70°), low angle first:
| 2θ/deg | d [Å] | I/Imax |
| --- | --- | --- |
| 15.6 | 5.670 | 68.0 |
| 30.2 | 2.961 | 100.0 |
| 31.6 | 2.835 | 40.6 |
| 36.6 | 2.455 | 46.6 |
| 40.0 | 2.253 | 14.1 |
| 48.1 | 1.890 | 39.0 |
| 52.7 | 1.736 | 52.0 |
| 55.3 | 1.660 | 15.0 |
| 62.0 | 1.498 | 12.2 |
| 62.8 | 1.480 | 20.2 |
| 65.9 | 1.417 | 9.6 |
| 68.2 | 1.375 | 8.1 |